(1)
Starting from a GGA-PBE-relaxed structure, the powder XRD pattern of Nb5Re2 was calculated for copper Kα.
Neutral-atom scattering factors, no anomalous dispersion.

The 10 most intense peaks (2θ from 10° to 90°), most intense first:
| d/Å | two_theta | intensity |
| --- | --- | --- |
| 2.248 | 40.11 | 100.0 |
| 2.418 | 37.19 | 89.3 |
| 2.088 | 43.33 | 58.3 |
| 2.185 | 41.32 | 36.9 |
| 2.504 | 35.86 | 36.3 |
| 4.146 | 21.43 | 34.4 |
| 4.635 | 19.15 | 30.7 |
| 1.241 | 76.82 | 29.5 |
| 1.945 | 46.69 | 27.3 |
| 2.203 | 40.96 | 22.5 |

Crystal structure
```
data_Nb5Re2
_chemical_formula_sum 'Nb10 Re4'
_cell_length_a 9.2698
_cell_length_b 9.2698
_cell_length_c 2.9759
_cell_angle_alpha 90.00
_cell_angle_beta 90.00
_cell_angle_gamma 90.00
_space_group_name_H-M_alt 'P 4/m b m'
_space_group_IT_number 127
_space_group_name_Hall '-P 4 2ab'
loop_
_atom_site_label
_atom_site_type_symbol
_atom_site_fract_x
_atom_site_fract_y
_atom_site_fract_z
_atom_site_occupancy
Nb1 Nb 0.0000 0.5000 0.0000 1
Nb2 Nb 0.0661 0.2077 0.0000 1
Re1 Re 0.1818 0.6818 0.5000 1
```

---

(2)
Starting from a GGA-PBE-relaxed structure, the powder XRD pattern of LiAl8Cu6 was calculated for copper Kα.
Neutral-atom scattering factors, no anomalous dispersion.

The 10 most intense peaks (2θ from 10° to 90°), most intense first:
| d/Å | two_theta | intensity |
| --- | --- | --- |
| 2.038 | 44.46 | 100.0 |
| 2.083 | 43.44 | 86.9 |
| 3.608 | 24.68 | 53.1 |
| 2.913 | 30.69 | 36.5 |
| 1.457 | 63.91 | 31.8 |
| 1.194 | 80.45 | 31.4 |
| 4.939 | 17.96 | 29.9 |
| 1.919 | 47.37 | 14.1 |
| 1.203 | 79.74 | 13.1 |
| 1.168 | 82.58 | 12.1 |

Crystal structure
```
data_LiAl8Cu6
_chemical_formula_sum 'Li3 Al24 Cu18'
_cell_length_a 7.2156
_cell_length_b 7.2156
_cell_length_c 14.8177
_cell_angle_alpha 90.00
_cell_angle_beta 90.00
_cell_angle_gamma 120.00
_space_group_name_H-M_alt 'R -3'
_space_group_IT_number 148
_space_group_name_Hall '-R 3'
loop_
_atom_site_label
_atom_site_type_symbol
_atom_site_fract_x
_atom_site_fract_y
_atom_site_fract_z
_atom_site_occupancy
Li1 Li 0.0000 0.0000 0.0000 1
Al1 Al 0.0000 0.0000 0.3338 1
Al2 Al 0.0015 0.6705 0.1182 1
Cu1 Cu 0.9998 0.3355 0.0496 1
```

---

(3)
Starting from a GGA-PBE-relaxed structure, the powder XRD pattern of Nd2PuRu3 was calculated for copper Kα.
Neutral-atom scattering factors, no anomalous dispersion.

The 10 most intense peaks (2θ from 10° to 90°), most intense first:
| d/Å | two_theta | intensity |
| --- | --- | --- |
| 2.386 | 37.70 | 100.0 |
| 2.944 | 30.36 | 52.7 |
| 2.434 | 36.94 | 47.1 |
| 2.397 | 37.52 | 34.7 |
| 1.569 | 58.87 | 27.6 |
| 1.472 | 63.15 | 25.9 |
| 5.100 | 17.39 | 22.4 |
| 2.161 | 41.79 | 20.8 |
| 1.572 | 58.74 | 18.9 |
| 1.373 | 68.32 | 14.5 |

Crystal structure
```
data_Nd2PuRu3
_chemical_formula_sum 'Nd4 Pu2 Ru6'
_cell_length_a 5.8888
_cell_length_b 5.8888
_cell_length_c 8.1462
_cell_angle_alpha 90.00
_cell_angle_beta 90.00
_cell_angle_gamma 120.00
_space_group_name_H-M_alt 'P 63/m m c'
_space_group_IT_number 194
_space_group_name_Hall '-P 6c 2c'
loop_
_atom_site_label
_atom_site_type_symbol
_atom_site_fract_x
_atom_site_fract_y
_atom_site_fract_z
_atom_site_occupancy
Nd1 Nd 0.3333 0.6667 0.0617 1
Pu1 Pu 0.0000 0.0000 0.0000 1
Ru1 Ru 0.1662 0.3324 0.7500 1
```

---

(4)
Starting from a GGA-PBE-relaxed structure, the powder XRD pattern of CeHfThN3 was calculated for copper Kα.
Neutral-atom scattering factors, no anomalous dispersion.

The 10 most intense peaks (2θ from 10° to 90°), most intense first:
| d/Å | two_theta | intensity |
| --- | --- | --- |
| 2.747 | 32.60 | 100.0 |
| 2.789 | 32.09 | 68.1 |
| 2.779 | 32.22 | 48.3 |
| 2.464 | 36.46 | 39.2 |
| 1.434 | 65.05 | 35.5 |
| 1.954 | 46.47 | 33.5 |
| 1.675 | 54.82 | 16.5 |
| 1.598 | 57.69 | 14.2 |
| 1.606 | 57.36 | 13.3 |
| 1.432 | 65.15 | 13.2 |

Crystal structure
```
data_CeHfThN3
_chemical_formula_sum 'Ce2 Hf2 Th2 N6'
_cell_length_a 3.3415
_cell_length_b 5.5571
_cell_length_c 9.6749
_cell_angle_alpha 90.00
_cell_angle_beta 90.00
_cell_angle_gamma 90.00
_space_group_name_H-M_alt 'P m m n'
_space_group_IT_number 59
loop_
_space_group_symop_operation_xyz
'x,y,z'
'-x,-y,-z'
'-x+1/2,-y+1/2,z'
'x+1/2,y+1/2,-z'
'x+1/2,-y,-z'
'-x+1/2,y,z'
'-x,y+1/2,-z'
'x,-y+1/2,z'
loop_
_atom_site_label
_atom_site_type_symbol
_atom_site_fract_x
_atom_site_fract_y
_atom_site_fract_z
_atom_site_occupancy
Ce1 Ce 0.2500 0.2500 0.2481 1
Hf1 Hf 0.2500 0.7500 0.0489 1
Th1 Th 0.2500 0.2500 0.6202 1
N1 N 0.2500 0.0091 0.8674 1
N2 N 0.2500 0.7500 0.5675 1
```

---

(5)
Starting from a GGA-PBE-relaxed structure, the powder XRD pattern of Ce2Ge7Pd12 was calculated for copper Kα.
Neutral-atom scattering factors, no anomalous dispersion.

The 10 most intense peaks (2θ from 10° to 90°), most intense first:
| d/Å | two_theta | intensity |
| --- | --- | --- |
| 2.560 | 35.05 | 100.0 |
| 1.937 | 46.90 | 29.6 |
| 2.091 | 43.27 | 17.5 |
| 1.980 | 45.84 | 17.1 |
| 1.385 | 67.65 | 14.4 |
| 2.037 | 44.48 | 10.3 |
| 1.544 | 59.90 | 10.1 |
| 2.370 | 37.96 | 10.0 |
| 1.228 | 77.76 | 8.7 |
| 1.208 | 79.32 | 8.7 |

Crystal structure
```
data_Ce2Ge7Pd12
_chemical_formula_sum 'Ce2 Ge7 Pd12'
_cell_length_a 10.2520
_cell_length_b 10.2520
_cell_length_c 3.9591
_cell_angle_alpha 90.00
_cell_angle_beta 90.00
_cell_angle_gamma 120.00
_space_group_name_H-M_alt 'P -3'
_space_group_IT_number 147
loop_
_space_group_symop_operation_xyz
'x,y,z'
'-x,-y,-z'
'-y,x-y,z'
'y,-x+y,-z'
'-x+y,-x,z'
'x-y,x,-z'
loop_
_atom_site_label
_atom_site_type_symbol
_atom_site_fract_x
_atom_site_fract_y
_atom_site_fract_z
_atom_site_occupancy
Ce1 Ce 0.3333 0.6667 0.2453 1
Ge1 Ge 0.0000 0.0000 0.5000 1
Ge2 Ge 0.1193 0.7117 0.7482 1
Pd1 Pd 0.0581 0.4396 0.7514 1
Pd2 Pd 0.1116 0.2580 0.2457 1
```

---

(6)
Starting from a GGA-PBE-relaxed structure, the powder XRD pattern of Rb2TaWI6 was calculated for copper Kα.
Neutral-atom scattering factors, no anomalous dispersion.

The 10 most intense peaks (2θ from 10° to 90°), most intense first:
| d/Å | two_theta | intensity |
| --- | --- | --- |
| 2.924 | 30.57 | 100.0 |
| 2.068 | 43.78 | 74.0 |
| 5.849 | 15.15 | 61.6 |
| 3.377 | 26.39 | 38.5 |
| 2.616 | 34.28 | 33.9 |
| 1.688 | 54.34 | 26.0 |
| 4.136 | 21.49 | 22.7 |
| 1.309 | 72.18 | 22.3 |
| 1.950 | 46.58 | 17.0 |
| 1.194 | 80.39 | 16.8 |

Crystal structure
```
data_Rb2TaWI6
_chemical_formula_sum 'Rb4 Ta2 W2 I12'
_cell_length_a 8.2796
_cell_length_b 8.2796
_cell_length_c 11.6736
_cell_angle_alpha 90.00
_cell_angle_beta 90.00
_cell_angle_gamma 90.00
_space_group_name_H-M_alt 'I 4/m m m'
_space_group_IT_number 139
_space_group_name_Hall '-I 4 2'
loop_
_atom_site_label
_atom_site_type_symbol
_atom_site_fract_x
_atom_site_fract_y
_atom_site_fract_z
_atom_site_occupancy
Rb1 Rb 0.0000 0.5000 0.2500 1
Ta1 Ta 0.0000 0.0000 0.0000 1
W1 W 0.0000 0.0000 0.5000 1
I1 I 0.0000 0.0000 0.2505 1
I2 I 0.2498 0.2498 0.0000 1
```